Starting from a cell relaxed with PBE, the powder diffraction line list of CdSn2OsC was simulated for CuKα.
Peak positions follow from Bragg's law for the DFT cell and can differ from measured ones.

Most intense lines, 2θ = 15–90°, in order of rising 2θ:
2θ/deg	I (rel.)
28.3	4
34.3	100
38.4	40
42.4	15
55.4	14
58.5	23
66.8	30
72.2	13
72.3	12
82.3	5

Cell and atoms:
```
data_CdSn2OsC
_chemical_formula_sum 'Cd1 Sn2 Os1 C1'
_space_group_name_H-M_alt 'P 1'
_space_group_IT_number 1
_cell_length_a 4.687
_cell_length_b 4.687
_cell_length_c 4.266
_cell_angle_alpha 90.00
_cell_angle_beta 90.00
_cell_angle_gamma 90.00
loop_
_space_group_symop_operation_xyz
'x,y,z'
loop_
_atom_site_label
_atom_site_type_symbol
_atom_site_fract_x
_atom_site_fract_y
_atom_site_fract_z
_atom_site_occupancy
Cd1 Cd 0.000 0.000 0.000 1
Sn1 Sn 0.000 0.500 0.500 1
Sn2 Sn 0.500 0.000 0.500 1
Os1 Os 0.500 0.500 0.000 1
C1 C 0.000 0.000 0.500 1
```


Starting from a cell relaxed with PBE, the powder diffraction line list of LiCuRh2 was simulated for CuKα.
Peak positions follow from Bragg's law for the DFT cell and can differ from measured ones.

Most intense lines, 2θ = 15–90°, in order of rising 2θ:
2θ/deg	I (rel.)
26.6	48
41.8	100
43.7	12
48.4	32
49.0	16
56.1	12
70.9	10
71.4	19
85.8	24
86.7	12

Cell and atoms:
```
data_LiCuRh2
_chemical_formula_sum 'Li2 Cu2 Rh4'
_space_group_name_H-M_alt 'P 1'
_space_group_IT_number 1
_cell_length_a 3.760
_cell_length_b 3.760
_cell_length_c 7.435
_cell_angle_alpha 90.00
_cell_angle_beta 90.00
_cell_angle_gamma 90.00
loop_
_space_group_symop_operation_xyz
'x,y,z'
loop_
_atom_site_label
_atom_site_type_symbol
_atom_site_fract_x
_atom_site_fract_y
_atom_site_fract_z
_atom_site_occupancy
Li1 Li 0.000 0.000 0.000 1
Li2 Li 0.500 0.500 0.500 1
Cu1 Cu 0.000 0.500 0.250 1
Cu2 Cu 0.500 0.000 0.750 1
Rh1 Rh 0.000 0.000 0.500 1
Rh2 Rh 0.000 0.500 0.750 1
Rh3 Rh 0.500 0.000 0.250 1
Rh4 Rh 0.500 0.500 0.000 1
```


Starting from a cell relaxed with PBE, the powder diffraction line list of CsTh4S8 was simulated for CuKα.
Peak positions follow from Bragg's law for the DFT cell and can differ from measured ones.

Most intense lines, 2θ = 15–90°, in order of rising 2θ:
2θ/deg	I (rel.)
19.4	34
25.8	57
27.6	61
32.4	100
39.3	46
45.5	26
46.6	23
47.6	31
57.0	20
61.7	23

Cell and atoms:
```
data_CsTh4S8
_chemical_formula_sum 'Cs2 Th8 S16'
_space_group_name_H-M_alt 'P 1'
_space_group_IT_number 1
_cell_length_a 7.978
_cell_length_b 7.978
_cell_length_c 18.343
_cell_angle_alpha 90.00
_cell_angle_beta 90.00
_cell_angle_gamma 120.00
loop_
_space_group_symop_operation_xyz
'x,y,z'
loop_
_atom_site_label
_atom_site_type_symbol
_atom_site_fract_x
_atom_site_fract_y
_atom_site_fract_z
_atom_site_occupancy
Cs1 Cs 0.000 0.000 0.000 1
Cs2 Cs 0.000 0.000 0.500 1
Th1 Th 0.000 0.000 0.250 1
Th2 Th 0.000 0.000 0.750 1
Th3 Th 0.006 0.503 0.250 1
Th4 Th 0.497 0.503 0.250 1
Th5 Th 0.497 0.994 0.250 1
Th6 Th 0.503 0.006 0.750 1
Th7 Th 0.503 0.497 0.750 1
Th8 Th 0.994 0.497 0.750 1
S1 S 0.164 0.327 0.160 1
S2 S 0.164 0.327 0.340 1
S3 S 0.164 0.836 0.160 1
S4 S 0.164 0.836 0.340 1
S5 S 0.327 0.164 0.660 1
S6 S 0.327 0.164 0.840 1
S7 S 0.333 0.667 0.661 1
S8 S 0.333 0.667 0.839 1
S9 S 0.667 0.333 0.161 1
S10 S 0.667 0.333 0.339 1
S11 S 0.673 0.836 0.160 1
S12 S 0.673 0.836 0.340 1
S13 S 0.836 0.164 0.660 1
S14 S 0.836 0.164 0.840 1
S15 S 0.836 0.673 0.660 1
S16 S 0.836 0.673 0.840 1
```


Starting from a cell relaxed with PBE, the powder diffraction line list of BaPuN2 was simulated for CuKα.
Peak positions follow from Bragg's law for the DFT cell and can differ from measured ones.

Most intense lines, 2θ = 15–90°, in order of rising 2θ:
2θ/deg	I (rel.)
27.4	38
28.9	100
32.1	12
40.2	49
40.3	45
51.3	25
59.1	19
59.9	13
64.9	12
89.1	14

Cell and atoms:
```
data_BaPuN2
_chemical_formula_sum 'Ba2 Pu2 N4'
_space_group_name_H-M_alt 'P 1'
_space_group_IT_number 1
_cell_length_a 6.170
_cell_length_b 3.565
_cell_length_c 6.504
_cell_angle_alpha 90.00
_cell_angle_beta 90.22
_cell_angle_gamma 90.00
loop_
_space_group_symop_operation_xyz
'x,y,z'
loop_
_atom_site_label
_atom_site_type_symbol
_atom_site_fract_x
_atom_site_fract_y
_atom_site_fract_z
_atom_site_occupancy
Ba1 Ba 0.000 0.000 0.000 1
Ba2 Ba 0.500 0.500 0.000 1
Pu1 Pu 0.000 0.000 0.500 1
Pu2 Pu 0.500 0.500 0.500 1
N1 N 0.167 0.500 0.326 1
N2 N 0.333 0.000 0.674 1
N3 N 0.667 0.000 0.326 1
N4 N 0.833 0.500 0.674 1
```


Starting from a cell relaxed with PBE, the powder diffraction line list of NbCuTc was simulated for CuKα.
Peak positions follow from Bragg's law for the DFT cell and can differ from measured ones.

Most intense lines, 2θ = 15–90°, in order of rising 2θ:
2θ/deg	I (rel.)
40.0	100
41.2	93
41.4	42
42.4	41
56.9	18
58.9	13
72.7	18
73.4	15
75.1	13
76.2	12

Cell and atoms:
```
data_NbCuTc
_chemical_formula_sum 'Nb4 Cu4 Tc4'
_space_group_name_H-M_alt 'P 1'
_space_group_IT_number 1
_cell_length_a 12.816
_cell_length_b 3.239
_cell_length_c 4.370
_cell_angle_alpha 90.00
_cell_angle_beta 93.13
_cell_angle_gamma 90.00
loop_
_space_group_symop_operation_xyz
'x,y,z'
loop_
_atom_site_label
_atom_site_type_symbol
_atom_site_fract_x
_atom_site_fract_y
_atom_site_fract_z
_atom_site_occupancy
Nb1 Nb 0.000 0.000 0.000 1
Nb2 Nb 0.185 0.000 0.527 1
Nb3 Nb 0.500 0.500 0.000 1
Nb4 Nb 0.685 0.500 0.527 1
Cu1 Cu 0.011 0.500 0.507 1
Cu2 Cu 0.355 0.500 0.463 1
Cu3 Cu 0.511 0.000 0.507 1
Cu4 Cu 0.855 0.000 0.463 1
Tc1 Tc 0.168 0.500 0.037 1
Tc2 Tc 0.338 0.000 0.963 1
Tc3 Tc 0.668 0.000 0.037 1
Tc4 Tc 0.838 0.500 0.963 1
```


Starting from a cell relaxed with PBE, the powder diffraction line list of V4InMo was simulated for CuKα.
Peak positions follow from Bragg's law for the DFT cell and can differ from measured ones.

Most intense lines, 2θ = 15–90°, in order of rising 2θ:
2θ/deg	I (rel.)
22.1	18
24.9	24
37.0	49
39.7	72
42.3	100
45.1	46
68.5	27
70.3	21
71.7	23
78.7	18

Cell and atoms:
```
data_V4InMo
_chemical_formula_sum 'V4 In1 Mo1'
_space_group_name_H-M_alt 'P 1'
_space_group_IT_number 1
_cell_length_a 5.299
_cell_length_b 5.299
_cell_length_c 5.299
_cell_angle_alpha 54.60
_cell_angle_beta 54.60
_cell_angle_gamma 54.60
loop_
_space_group_symop_operation_xyz
'x,y,z'
loop_
_atom_site_label
_atom_site_type_symbol
_atom_site_fract_x
_atom_site_fract_y
_atom_site_fract_z
_atom_site_occupancy
V1 V 0.000 0.000 0.000 1
V2 V 0.121 0.622 0.622 1
V3 V 0.622 0.121 0.622 1
V4 V 0.622 0.622 0.121 1
In1 In 0.622 0.622 0.622 1
Mo1 Mo 0.240 0.240 0.240 1
```